(1)
This entry pairs a crystal structure of AlCuBi with its computed powder diffractogram. Radiation: copper Kα. Structure: a crystal structure in Alexandria, relaxed with GGA-PBE.
No peak broadening, texture or thermal motion is included.

Most intense lines, 2θ from 15° to 90°, sorted by position:
25.18°, d = 3.537 Å, I 27; 31.14°, d = 2.872 Å, I 68; 33.27°, d = 2.693 Å, I 100; 33.60°, d = 2.667 Å, I 41; 40.17°, d = 2.245 Å, I 15; 43.83°, d = 2.065 Å, I 27; 44.62°, d = 2.031 Å, I 38; 56.77°, d = 1.622 Å, I 45; 64.33°, d = 1.448 Å, I 17; 86.22°, d = 1.128 Å, I 13

Atomic structure:
Cell: 4.062 4.062 7.196 Å, 90.00 90.00 90.00°
Space group P4/nmm (No. 129, origin choice 2)
One atom of each set of equivalent atoms:
Al 0.250 0.750 0.000
Cu 0.250 0.250 0.219
Bi 0.250 0.250 0.634

(2)
This entry pairs a crystal structure of Sr2AlCu2BiO7 with its computed powder diffractogram. Radiation: copper Kα. Structure: a crystal structure in Alexandria, relaxed with GGA-PBE.
No peak broadening, texture or thermal motion is included.

Most intense lines, 2θ from 15° to 90°, sorted by position:
27.75°, d = 3.214 Å, I 100; 32.13°, d = 2.786 Å, I 70; 33.71°, d = 2.659 Å, I 42; 33.91°, d = 2.644 Å, I 41; 35.97°, d = 2.497 Å, I 36; 48.56°, d = 1.875 Å, I 36; 50.13°, d = 1.820 Å, I 27; 50.26°, d = 1.815 Å, I 17; 59.28°, d = 1.559 Å, I 19; 61.89°, d = 1.499 Å, I 22

Atomic structure:
Cell: 24.968 5.318 5.288 Å, 90.00 90.00 90.00°
Space group Ima2 (No. 46)
One atom of each set of equivalent atoms:
Sr 0.138 0.003 0.000
Al 0.000 0.000 0.998
Cu 0.055 0.000 0.498
Bi 0.250 0.008 0.481
O 0.051 0.177 0.821
O 0.051 0.677 0.674
O 0.158 0.004 0.495
O 0.250 0.083 0.064

(3)
This entry pairs a crystal structure of Dy6AlBi2 with its computed powder diffractogram. Radiation: copper Kα. Structure: a crystal structure in Alexandria, relaxed with GGA-PBE.
No peak broadening, texture or thermal motion is included.

Most intense lines, 2θ from 15° to 90°, sorted by position:
18.08°, d = 4.906 Å, I 50; 26.60°, d = 3.351 Å, I 100; 28.78°, d = 3.102 Å, I 42; 34.91°, d = 2.570 Å, I 63; 36.63°, d = 2.453 Å, I 33; 39.26°, d = 2.295 Å, I 23; 43.84°, d = 2.065 Å, I 54; 45.84°, d = 1.979 Å, I 16; 54.78°, d = 1.676 Å, I 20; 76.86°, d = 1.240 Å, I 20

Atomic structure:
Cell: 6.938 6.938 13.767 Å, 90.00 90.00 90.00°
Space group P4_2/mnm (No. 136)
One atom of each set of equivalent atoms:
Dy 0.191 0.191 0.158
Dy 0.212 0.212 0.500
Al 0.000 0.000 0.000
Bi 0.000 0.000 0.334

(4)
This entry pairs a crystal structure of Er5Al2Bi with its computed powder diffractogram. Radiation: copper Kα. Structure: a crystal structure in Alexandria, relaxed with GGA-PBE.
No peak broadening, texture or thermal motion is included.

Most intense lines, 2θ from 15° to 90°, sorted by position:
25.24°, d = 3.529 Å, I 53; 30.79°, d = 2.904 Å, I 23; 32.09°, d = 2.789 Å, I 57; 32.25°, d = 2.776 Å, I 100; 34.53°, d = 2.597 Å, I 96; 35.71°, d = 2.514 Å, I 48; 49.64°, d = 1.836 Å, I 18; 53.10°, d = 1.725 Å, I 28; 55.58°, d = 1.653 Å, I 33; 64.96°, d = 1.436 Å, I 29

Atomic structure:
Cell: 8.213 8.213 12.719 Å, 90.00 90.00 90.00°
Space group I4/mcm (No. 140)
One atom of each set of equivalent atoms:
Er 0.000 0.000 0.000
Er 0.154 0.346 0.144
Al 0.143 0.357 0.500
Bi 0.000 0.000 0.250

(5)
This entry pairs a crystal structure of Er7Al2Bi2 with its computed powder diffractogram. Radiation: copper Kα. Structure: a crystal structure in Alexandria, relaxed with GGA-PBE.
No peak broadening, texture or thermal motion is included.

Most intense lines, 2θ from 15° to 90°, sorted by position:
22.98°, d = 3.870 Å, I 35; 25.10°, d = 3.547 Å, I 52; 28.34°, d = 3.149 Å, I 29; 28.97°, d = 3.082 Å, I 46; 30.91°, d = 2.893 Å, I 38; 33.07°, d = 2.709 Å, I 57; 36.49°, d = 2.463 Å, I 100; 37.45°, d = 2.401 Å, I 26; 38.36°, d = 2.346 Å, I 33; 51.53°, d = 1.774 Å, I 23

Atomic structure:
Cell: 9.386 10.837 6.843 Å, 90.00 90.00 90.00°
Space group Cmmm (No. 65)
One atom of each set of equivalent atoms:
Er 0.000 0.000 0.000
Er 0.000 0.500 0.244
Er 0.250 0.250 0.249
Al 0.000 0.272 0.000
Bi 0.202 0.000 0.500

(6)
This entry pairs a crystal structure of SrEuAlBiO6 with its computed powder diffractogram. Radiation: copper Kα. Structure: a crystal structure in Alexandria, relaxed with GGA-PBE.
No peak broadening, texture or thermal motion is included.

Most intense lines, 2θ from 15° to 90°, sorted by position:
19.03°, d = 4.664 Å, I 36; 31.32°, d = 2.856 Å, I 100; 36.91°, d = 2.435 Å, I 25; 44.89°, d = 2.019 Å, I 31; 49.17°, d = 1.853 Å, I 12; 55.75°, d = 1.649 Å, I 40; 59.46°, d = 1.555 Å, I 8; 65.35°, d = 1.428 Å, I 19; 68.75°, d = 1.365 Å, I 8; 74.26°, d = 1.277 Å, I 18

Atomic structure:
Cell: 8.078 8.078 8.078 Å, 90.00 90.00 90.00°
Space group F-43m (No. 216)
One atom of each set of equivalent atoms:
Sr 0.000 0.000 0.000
Eu 0.000 0.000 0.500
Al 0.250 0.250 0.250
Bi 0.250 0.250 0.750
O 0.013 0.250 0.250

(7)
This entry pairs a crystal structure of AlBiF with its computed powder diffractogram. Radiation: copper Kα. Structure: a crystal structure in Alexandria, relaxed with GGA-PBE.
No peak broadening, texture or thermal motion is included.

Most intense lines, 2θ from 15° to 90°, sorted by position:
15.17°, d = 5.839 Å, I 35; 18.91°, d = 4.692 Å, I 100; 26.11°, d = 3.413 Å, I 55; 27.66°, d = 3.225 Å, I 28; 28.40°, d = 3.143 Å, I 38; 30.28°, d = 2.952 Å, I 38; 31.00°, d = 2.885 Å, I 45; 34.04°, d = 2.634 Å, I 27; 36.27°, d = 2.477 Å, I 36; 41.18°, d = 2.192 Å, I 46

Atomic structure:
Cell: 6.460 13.654 3.319 Å, 90.00 90.00 90.00°
Space group Pnnm (No. 58)
One atom of each set of equivalent atoms:
Al 0.000 0.184 0.000
Bi 0.148 0.376 0.000
F 0.185 0.094 0.000

(8)
This entry pairs a crystal structure of LaAlGa2Bi with its computed powder diffractogram. Radiation: copper Kα. Structure: a crystal structure in Alexandria, relaxed with GGA-PBE.
No peak broadening, texture or thermal motion is included.

Most intense lines, 2θ from 15° to 90°, sorted by position:
15.95°, d = 5.557 Å, I 24; 22.64°, d = 3.927 Å, I 100; 32.24°, d = 2.776 Å, I 67; 36.18°, d = 2.483 Å, I 14; 39.77°, d = 2.266 Å, I 48; 46.25°, d = 1.963 Å, I 50; 52.12°, d = 1.755 Å, I 13; 57.50°, d = 1.603 Å, I 17; 62.59°, d = 1.484 Å, I 26; 76.82°, d = 1.241 Å, I 15

Atomic structure:
Cell: 5.548 5.548 5.561 Å, 90.00 90.00 90.00°
Space group P4/mmm (No. 123)
One atom of each set of equivalent atoms:
La 0.000 0.000 0.000
Al 0.500 0.500 0.000
Ga 0.000 0.500 0.500
Bi 0.500 0.500 0.500

(9)
This entry pairs a crystal structure of Al2Ga2Bi2O9 with its computed powder diffractogram. Radiation: copper Kα. Structure: a crystal structure in Alexandria, relaxed with GGA-PBE.
No peak broadening, texture or thermal motion is included.

Most intense lines, 2θ from 15° to 90°, sorted by position:
15.17°, d = 5.841 Å, I 36; 28.64°, d = 3.116 Å, I 100; 29.28°, d = 3.050 Å, I 93; 30.61°, d = 2.920 Å, I 33; 39.85°, d = 2.262 Å, I 18; 47.78°, d = 1.904 Å, I 31; 49.85°, d = 1.829 Å, I 21; 53.21°, d = 1.721 Å, I 18; 53.60°, d = 1.710 Å, I 18; 57.61°, d = 1.600 Å, I 35

Atomic structure:
Cell: 7.920 8.326 5.841 Å, 90.00 90.00 90.00°
Space group Pbam (No. 55)
One atom of each set of equivalent atoms:
Al 0.000 0.000 0.242
Ga 0.152 0.336 0.000
Bi 0.170 0.668 0.500
O 0.000 0.500 0.000
O 0.125 0.202 0.256
O 0.130 0.913 0.000
O 0.143 0.932 0.500

(10)
This entry pairs a crystal structure of Al2Ga2Bi2O9 with its computed powder diffractogram. Radiation: copper Kα. Structure: a crystal structure in Alexandria, relaxed with GGA-PBE.
No peak broadening, texture or thermal motion is included.

Most intense lines, 2θ from 15° to 90°, sorted by position:
23.98°, d = 3.710 Å, I 34; 27.16°, d = 3.283 Å, I 37; 28.39°, d = 3.144 Å, I 100; 29.20°, d = 3.058 Å, I 89; 31.08°, d = 2.877 Å, I 34; 38.00°, d = 2.368 Å, I 36; 39.54°, d = 2.279 Å, I 42; 47.33°, d = 1.921 Å, I 59; 49.95°, d = 1.826 Å, I 52; 57.23°, d = 1.610 Å, I 50

Atomic structure:
Cell: 7.893 8.407 5.919 Å, 90.00 90.00 90.00°
Space group Pbam (No. 55)
One atom of each set of equivalent atoms:
Al 0.144 0.158 0.000
Ga 0.000 0.500 0.238
Bi 0.178 0.823 0.500
O 0.000 0.000 0.000
O 0.123 0.283 0.248
O 0.143 0.587 0.000
O 0.152 0.560 0.500

(11)
This entry pairs a crystal structure of Gd2AlBi with its computed powder diffractogram. Radiation: copper Kα. Structure: a crystal structure in Alexandria, relaxed with GGA-PBE.
No peak broadening, texture or thermal motion is included.

Most intense lines, 2θ from 15° to 90°, sorted by position:
18.06°, d = 4.912 Å, I 22; 27.06°, d = 3.295 Å, I 17; 32.73°, d = 2.736 Å, I 100; 36.59°, d = 2.456 Å, I 37; 40.62°, d = 2.221 Å, I 14; 52.71°, d = 1.737 Å, I 13; 55.80°, d = 1.647 Å, I 22; 63.44°, d = 1.466 Å, I 30; 68.60°, d = 1.368 Å, I 12; 68.93°, d = 1.362 Å, I 13

Atomic structure:
Cell: 4.912 4.912 4.443 Å, 90.00 90.00 90.00°
Space group P4/mmm (No. 123)
One atom of each set of equivalent atoms:
Gd 0.000 0.500 0.000
Al 0.000 0.000 0.500
Bi 0.500 0.500 0.500

(12)
This entry pairs a crystal structure of Al2HgBiP with its computed powder diffractogram. Radiation: copper Kα. Structure: a crystal structure in Alexandria, relaxed with GGA-PBE.
No peak broadening, texture or thermal motion is included.

Most intense lines, 2θ from 15° to 90°, sorted by position:
18.32°, d = 4.841 Å, I 100; 26.03°, d = 3.423 Å, I 47; 29.88°, d = 2.990 Å, I 27; 35.28°, d = 2.544 Å, I 42; 37.14°, d = 2.421 Å, I 31; 40.04°, d = 2.252 Å, I 31; 41.72°, d = 2.165 Å, I 27; 48.38°, d = 1.881 Å, I 29; 52.16°, d = 1.754 Å, I 28; 62.53°, d = 1.485 Å, I 14

Atomic structure:
Cell: 4.841 4.841 5.980 Å, 90.00 90.00 90.00°
Space group P4/mmm (No. 123)
One atom of each set of equivalent atoms:
Al 0.000 0.500 0.000
Hg 0.000 0.000 0.000
Bi 0.000 0.000 0.500
P 0.500 0.500 0.500